The following is a simulated powder XRD pattern of KAs2Ru2. It was derived from a GGA-PBE-relaxed structure, using CuKα.
Neutral-atom scattering factors, no anomalous dispersion.

Crystal structure
```
KAs2Ru2
1.0
-2.078 2.078 6.330
2.078 -2.078 6.330
2.078 2.078 -6.330
K As Ru
1 2 2
direct
0.000 0.000 0.000
0.350 0.350 0.000
0.650 0.650 0.000
0.250 0.750 0.500
0.750 0.250 0.500
```

The 6 most intense peaks (2θ from 10° to 90°), in order of rising 2θ:
14.0°, I 100; 30.2°, I 49; 33.6°, I 41; 42.0°, I 48; 43.6°, I 40; 53.5°, I 37